Structure and simulated X-ray powder pattern of PuGe4Pd6 (a cell relaxed with GGA-PBE; Cu Kα, 1.54184 Å).

Atomic structure:
```
PuGe4Pd6
1.0
7.422 0.000 0.000
-3.711 6.427 0.000
0.000 0.000 3.889
Pu Ge Pd
1 4 6
Direct
0.000 0.000 0.000
0.189 0.378 0.500
0.189 0.811 0.500
0.622 0.811 0.500
0.667 0.333 0.000
0.071 0.536 0.000
0.401 0.200 0.500
0.464 0.536 0.000
0.464 0.929 0.000
0.800 0.200 0.500
0.800 0.599 0.500
```

Largest 10 diffraction maxima, most intense first, 10° ≤ 2θ ≤ 90°:
d_spacing	I_rel	index
2.477	100	2 0 1
2.429	36	2 1 0
2.685	35	1 1 1
1.855	27	2 2 0
1.945	22	0 0 2
2.060	20	2 1 1
1.342	19	2 2 2
1.518	17	2 1 2
1.877	15	3 0 1
1.621	12	3 1 1